# Zr5Bi3
Computed powder X-ray diffraction pattern, a wavelength of 1.5418 Å. Input: a crystal structure in the Materials Project, relaxed with PBE.
Neutral-atom scattering factors, no anomalous dispersion.

Top 10 peaks for 10 to 90 degrees two-theta, by angle:
2θ 11.70, I 21.7, hkl 1 0 0; 2θ 20.34, I 19.6, hkl 1 1 0; 2θ 25.38, I 49.4, hkl 1 1 1; 2θ 30.32, I 34.4, hkl 0 0 2; 2θ 34.88, I 100.0, hkl 2 1 1; 2θ 35.62, I 71.1, hkl 3 0 0; 2θ 36.78, I 78.7, hkl 1 1 2; 2θ 45.92, I 37.1, hkl 3 1 1; 2θ 56.85, I 24.6, hkl 2 1 3; 2θ 69.90, I 20.9, hkl 5 0 2

Cell and atoms:
a = 8.7323 Å, b = 8.7323 Å, c = 5.8964 Å
α = 90.00°, β = 90.00°, γ = 120.00°
Space group P6_3/mcm (No. 193)
Asymmetric unit:
Zr 0.0000 0.2547 0.2500 [6 per cell]
Zr 0.3333 0.6667 0.0000 [4 per cell]
Bi 0.0000 0.3856 0.7500 [6 per cell]